Theoretical PXRD pattern of Na4VIn3O8 for a wavelength of 1.5418 Å, from DFT lattice parameters and positions (GGA+U).
Neutral-atom scattering factors, no anomalous dispersion.

Most intense lines, 2θ = 5–70°, low angle first:
| 2θ (°) | intensity |
| --- | --- |
| 16.10 | 91 |
| 32.38 | 36 |
| 32.53 | 20 |
| 33.75 | 52 |
| 38.81 | 100 |
| 55.25 | 30 |
| 56.86 | 30 |
| 67.04 | 20 |

Cell and atoms:
```
Na4VIn3O8
1.0
3.239 1.870 5.505
-3.239 1.870 5.505
0.000 -3.740 5.505
Na V In O
4 1 3 8
Cartesian
0.000 0.000 0.000 Na
-1.619 -0.935 5.505 Na
-1.619 0.935 11.010 Na
0.000 1.870 5.505 Na
0.000 0.000 8.257 V
-3.239 0.000 8.257 In
-1.619 0.935 2.752 In
1.619 0.935 2.752 In
0.000 0.000 3.936 O
-1.547 -0.893 9.405 O
0.000 -1.787 7.109 O
-1.547 0.893 7.109 O
1.547 -0.893 9.405 O
0.000 1.787 9.405 O
1.547 0.893 7.109 O
0.000 0.000 12.578 O
```